No. 1
Simulated XRD peak list
Compound: TcAg5
Radiation: Cu Kα (weighted mean of Kα1 and Kα2)
Structure: a GGA-PBE-relaxed structure
Lines closer than 0.1° are merged.

```
TcAg5
1.0
11.0088 0.0000 0.0000
0.0000 2.7843 0.0000
-1.8235 0.0000 6.7505
Tc Ag
2 10
Cartesian
0.0000 0.0000 0.0000
5.5044 1.3921 0.0000
-0.1428 1.3921 4.8469
1.2056 1.3921 2.2189
2.9589 0.0000 0.3081
2.4644 0.0000 4.5205
4.1504 1.3921 2.5564
5.3616 0.0000 4.8469
6.7100 0.0000 2.2189
8.4633 1.3921 0.3081
7.9688 1.3921 4.5205
9.6548 0.0000 2.5564
```

Largest 12 diffraction maxima, sorted by position, 15 to 90 degrees two-theta:
two_theta	I_rel
35.0	22
36.7	54
37.2	93
39.6	63
40.1	61
41.2	100
41.5	98
63.9	35
69.7	20
70.2	19
75.9	21
76.9	20

No. 2
Simulated XRD peak list
Compound: CsHPdCl6
Radiation: Cu Kα (weighted mean of Kα1 and Kα2)
Structure: a GGA-PBE-relaxed structure
Lines closer than 0.1° are merged.

```
CsHPdCl6
1.0
6.1973 0.0000 0.0000
1.6923 6.6129 0.0000
2.5152 2.3389 6.4682
Cs H Pd Cl
1 1 1 6
Cartesian
0.0000 0.0000 0.0000
2.1037 4.4759 3.2341
5.2024 4.4759 3.2341
4.1543 5.4627 5.0945
3.1507 3.5833 2.4862
4.8112 6.4203 1.9691
5.5936 2.5316 4.4991
7.2541 5.3685 3.9819
6.2505 3.4892 1.3737
```

Largest 12 diffraction maxima, sorted by position, 15 to 90 degrees two-theta:
two_theta	I_rel
16.1	100
17.5	73
19.6	29
23.0	40
23.3	47
25.3	19
27.6	20
28.7	37
29.5	30
35.3	41
36.3	41
39.3	33

No. 3
Simulated XRD peak list
Compound: ScNbGa3
Radiation: Cu Kα (weighted mean of Kα1 and Kα2)
Structure: a GGA-PBE-relaxed structure
Lines closer than 0.1° are merged.

```
ScNbGa3
1.0
3.8311 0.0000 0.0000
0.0000 3.8311 0.0000
0.0000 0.0000 12.8749
Sc Nb Ga
2 2 6
Cartesian
0.0000 0.0000 0.0000
1.9156 1.9156 6.4374
0.0000 0.0000 8.1672
1.9156 1.9156 1.7298
0.0000 0.0000 5.5557
0.0000 1.9156 3.6373
0.0000 1.9156 10.0748
1.9156 0.0000 3.6373
1.9156 0.0000 10.0748
1.9156 1.9156 11.9931
```

Largest 12 diffraction maxima, sorted by position, 15 to 90 degrees two-theta:
two_theta	I_rel
24.2	44
31.3	28
36.0	100
42.1	21
42.3	42
43.7	68
47.5	51
65.3	22
65.4	22
69.4	16
80.7	17
85.7	19

No. 4
Simulated XRD peak list
Compound: LaAl12Ag4
Radiation: Cu Kα (weighted mean of Kα1 and Kα2)
Structure: a GGA-PBE-relaxed structure
Lines closer than 0.1° are merged.

```
LaAl12Ag4
1.0
-4.4884 4.4884 4.4884
4.4884 -4.4884 4.4884
4.4884 4.4884 -4.4884
La Al Ag
1 12 4
Cartesian
0.0000 0.0000 0.0000
3.1638 0.0000 1.3682
5.8130 0.0000 1.3682
4.4884 3.1202 -1.3246
1.3682 3.1638 0.0000
3.1202 -1.3246 4.4884
4.4884 3.1202 1.3246
0.0000 1.3682 3.1638
1.3682 5.8130 0.0000
3.1202 1.3246 4.4884
0.0000 1.3682 5.8130
-1.3246 4.4884 3.1202
1.3246 4.4884 3.1202
2.2442 2.2442 -2.2442
2.2442 -2.2442 2.2442
-2.2442 2.2442 2.2442
2.2442 2.2442 2.2442
```

Largest 12 diffraction maxima, sorted by position, 15 to 90 degrees two-theta:
two_theta	I_rel
19.8	31
24.3	11
28.1	100
31.5	35
34.6	11
37.5	27
40.2	18
45.2	31
49.8	60
51.9	18
65.8	22
80.0	18